This entry pairs a crystal structure of Li3Tl2Cd with its computed powder X-ray diffraction pattern. Radiation: Cu Kα (weighted mean of Kα1 and Kα2). Structure: the GGA-PBE geometry in the Materials Project.
Neutral-atom scattering factors, no anomalous dispersion.

Top 10 peaks for 10° ≤ 2θ ≤ 90°, sorted by position:
index, 2θ (°), d/Å, intensity
1 0 0, 25.7, 3.460, 100
0 0 3, 26.4, 3.379, 47
1 1 0, 36.7, 2.447, 45
1 0 3, 37.2, 2.418, 87
1 1 3, 45.8, 1.982, 43
2 0 0, 52.9, 1.730, 16
2 1 0, 59.8, 1.547, 20
2 0 3, 60.1, 1.540, 19
1 0 6, 61.0, 1.518, 18
2 1 3, 66.5, 1.407, 32

Cell and atoms:
Cell: 3.4602 3.4602 10.1374 Å, 90.00 90.00 90.00°
Space group P4/mmm (No. 123)
Asymmetric unit:
Li 0.0000 0.0000 0.0000 [1 per cell]
Li 0.0000 0.0000 0.3349 [2 per cell]
Tl 0.5000 0.5000 0.1664 [2 per cell]
Cd 0.5000 0.5000 0.5000 [1 per cell]